The following is a theoretical PXRD pattern of Pa2Rh3Pb. It was derived from a crystal structure in Alexandria, relaxed with PBE, using copper Kα.
Kinematic intensities with the Lorentz-polarization factor, no thermal factor.

Cell and atoms:
Cell: 9.219 9.219 9.219 Å, 60.00 60.00 60.00°
Atoms (fractional coordinates):
Pa (0.180, 0.773, 0.773)
Pa (0.227, 0.227, 0.227)
Pa (0.227, 0.227, 0.820)
Pa (0.227, 0.820, 0.227)
Pa (0.773, 0.180, 0.773)
Pa (0.773, 0.773, 0.180)
Pa (0.773, 0.773, 0.773)
Pa (0.820, 0.227, 0.227)
Rh (0.118, 0.118, 0.632)
Rh (0.118, 0.632, 0.118)
Rh (0.118, 0.632, 0.632)
Rh (0.368, 0.368, 0.882)
Rh (0.368, 0.882, 0.368)
Rh (0.368, 0.882, 0.882)
Rh (0.632, 0.118, 0.118)
Rh (0.632, 0.118, 0.632)
Rh (0.632, 0.632, 0.118)
Rh (0.882, 0.368, 0.368)
Rh (0.882, 0.368, 0.882)
Rh (0.882, 0.882, 0.368)
Pb (0.000, 0.500, 0.500)
Pb (0.500, 0.000, 0.500)
Pb (0.500, 0.500, 0.000)
Pb (0.500, 0.500, 0.500)

Main lines, in order of falling intensity (10° ≤ 2θ ≤ 90°):
| two_theta | I_rel |
| --- | --- |
| 39.08 | 100.0 |
| 29.87 | 38.7 |
| 22.62 | 21.4 |
| 70.81 | 20.3 |
| 57.90 | 17.0 |
| 54.03 | 17.0 |
| 49.96 | 16.2 |
| 35.79 | 15.3 |

---

The following is a theoretical PXRD pattern of PaRh4PbS8. It was derived from a crystal structure in Alexandria, relaxed with PBE, using copper Kα.
Kinematic intensities with the Lorentz-polarization factor, no thermal factor.

Cell and atoms:
Cell: 7.295 7.295 7.295 Å, 61.71 61.71 61.71°
Atoms (fractional coordinates):
Pa (0.000, 0.000, 0.000)
Rh (0.014, 0.014, 0.525)
Rh (0.014, 0.525, 0.014)
Rh (0.525, 0.014, 0.014)
Rh (0.643, 0.643, 0.643)
Pb (0.395, 0.395, 0.395)
S (0.245, 0.245, 0.245)
S (0.254, 0.752, 0.752)
S (0.257, 0.257, 0.829)
S (0.257, 0.829, 0.257)
S (0.752, 0.254, 0.752)
S (0.752, 0.752, 0.254)
S (0.777, 0.777, 0.777)
S (0.829, 0.257, 0.257)

Main lines, in order of falling intensity (10° ≤ 2θ ≤ 90°):
| two_theta | I_rel |
| --- | --- |
| 28.27 | 100.0 |
| 23.78 | 52.2 |
| 28.82 | 50.4 |
| 48.67 | 47.1 |
| 45.06 | 36.2 |
| 50.05 | 34.3 |
| 44.69 | 30.1 |
| 34.35 | 23.4 |